The following is a calculated powder X-ray diffraction pattern of Ag6HgO4. It was derived from the PBE geometry in Alexandria, using Cu Kα (λ = 1.5418 Å).
Lines closer than 0.1° are merged.

Top 12 peaks for 2θ = 5–70°, by angle:
2θ 16.70, I = 34
2θ 31.39, I = 14
2θ 33.77, I = 100
2θ 34.01, I = 6
2θ 37.67, I = 50
2θ 41.46, I = 3
2θ 42.08, I = 18
2θ 43.56, I = 6
2θ 49.82, I = 4
2θ 54.33, I = 16
2θ 57.74, I = 27
2θ 65.52, I = 29

Crystal structure
Unit cell a=6.423 b=6.423 c=6.423 alpha=116.56 beta=116.56 gamma=96.08
Fractional positions:
Ag (0.000, 0.000, 0.500)
Ag (0.000, 0.500, 0.000)
Ag (0.000, 0.500, 0.500)
Ag (0.500, 0.000, 0.000)
Ag (0.500, 0.000, 0.500)
Ag (0.500, 0.500, 0.500)
Hg (0.000, 0.000, 0.000)
O (0.244, 0.244, 0.489)
O (0.244, 0.756, 0.000)
O (0.756, 0.244, 0.000)
O (0.756, 0.756, 0.511)